1.
TiPb7N6: theoretical PXRD pattern (copper Kα), based on a crystal structure in the Materials Project, relaxed with PBE.
Lines closer than 0.1° are merged.

Peak list (8 most intense, 2θ from 10° to 90°, low angle first)
- 19.52 deg, rel. 20.4
- 27.78 deg, rel. 66.4
- 27.99 deg, rel. 34.3
- 28.83 deg, rel. 50.7
- 30.90 deg, rel. 100.0
- 31.30 deg, rel. 18.8
- 35.05 deg, rel. 35.6
- 51.11 deg, rel. 19.9

Structure:
a = 12.8433 Å, b = 7.3313 Å, c = 12.9686 Å
α = 90.00°, β = 90.00°, γ = 90.00°
Fractional coordinates of all 56 atoms:
Ti: 0.0000 0.1647 0.2500
Ti: 0.0000 0.8353 0.7500
Ti: 0.5000 0.3353 0.7500
Ti: 0.5000 0.6647 0.2500
Pb: 0.0000 0.4315 0.7500
Pb: 0.0000 0.5685 0.2500
Pb: 0.0050 0.2314 0.5254
Pb: 0.0050 0.7686 0.0254
Pb: 0.2085 0.1777 0.1251
Pb: 0.2085 0.8223 0.6251
Pb: 0.2420 0.0277 0.8635
Pb: 0.2420 0.9723 0.3635
Pb: 0.2580 0.4723 0.3635
Pb: 0.2580 0.5277 0.8635
Pb: 0.2915 0.3223 0.6251
Pb: 0.2915 0.6777 0.1251
Pb: 0.4950 0.2686 0.0254
Pb: 0.4950 0.7314 0.5254
Pb: 0.5000 0.0685 0.2500
Pb: 0.5000 0.9315 0.7500
Pb: 0.5050 0.2686 0.4746
Pb: 0.5050 0.7314 0.9746
Pb: 0.7085 0.3223 0.8749
Pb: 0.7085 0.6777 0.3749
Pb: 0.7420 0.4723 0.1365
Pb: 0.7420 0.5277 0.6365
Pb: 0.7580 0.0277 0.6365
Pb: 0.7580 0.9723 0.1365
Pb: 0.7915 0.1777 0.3749
Pb: 0.7915 0.8223 0.8749
Pb: 0.9950 0.2314 0.9746
Pb: 0.9950 0.7686 0.4746
N: 0.0364 0.0447 0.1192
N: 0.0364 0.9553 0.6192
N: 0.1133 0.3328 0.2713
N: 0.1133 0.6672 0.7713
N: 0.1750 0.2875 0.9619
N: 0.1750 0.7125 0.4619
N: 0.3250 0.2125 0.4619
N: 0.3250 0.7875 0.9619
N: 0.3867 0.1672 0.7713
N: 0.3867 0.8328 0.2713
N: 0.4636 0.4553 0.6192
N: 0.4636 0.5447 0.1192
N: 0.5364 0.4553 0.8808
N: 0.5364 0.5447 0.3808
N: 0.6133 0.1672 0.7287
N: 0.6133 0.8328 0.2287
N: 0.6750 0.2125 0.0381
N: 0.6750 0.7875 0.5381
N: 0.8250 0.2875 0.5381
N: 0.8250 0.7125 0.0381
N: 0.8867 0.3328 0.2287
N: 0.8867 0.6672 0.7287
N: 0.9636 0.0447 0.3808
N: 0.9636 0.9553 0.8808

***

2.
V2Pb3N4: theoretical PXRD pattern (copper Kα), based on a crystal structure in the Materials Project, relaxed with PBE.
Lines closer than 0.1° are merged.

Peak list (8 most intense, 2θ from 10° to 90°, low angle first)
- 15.80 deg, rel. 48.8
- 26.70 deg, rel. 56.8
- 27.18 deg, rel. 61.0
- 29.14 deg, rel. 86.8
- 33.94 deg, rel. 100.0
- 38.47 deg, rel. 39.8
- 51.95 deg, rel. 21.5
- 58.91 deg, rel. 18.6

Structure:
a = 6.6767 Å, b = 10.3772 Å, c = 10.3471 Å
α = 90.00°, β = 90.00°, γ = 90.00°
Fractional coordinates of all 36 atoms:
V: 0.2142 0.2500 0.2500
V: 0.2500 0.0000 0.2422
V: 0.2500 0.5000 0.2578
V: 0.2858 0.7500 0.2500
V: 0.7142 0.2500 0.7500
V: 0.7500 0.0000 0.7578
V: 0.7500 0.5000 0.7422
V: 0.7858 0.7500 0.7500
Pb: 0.2040 0.1626 0.8922
Pb: 0.2040 0.3374 0.6078
Pb: 0.2500 0.0000 0.6079
Pb: 0.2500 0.5000 0.8921
Pb: 0.2960 0.6626 0.6078
Pb: 0.2960 0.8374 0.8922
Pb: 0.7040 0.1626 0.1078
Pb: 0.7040 0.3374 0.3922
Pb: 0.7500 0.0000 0.3921
Pb: 0.7500 0.5000 0.1079
Pb: 0.7960 0.6626 0.3922
Pb: 0.7960 0.8374 0.1078
N: 0.0931 0.1147 0.3327
N: 0.0931 0.3853 0.1673
N: 0.1477 0.6344 0.3556
N: 0.1477 0.8656 0.1444
N: 0.3523 0.1344 0.1444
N: 0.3523 0.3656 0.3556
N: 0.4069 0.6147 0.1673
N: 0.4069 0.8853 0.3327
N: 0.5931 0.1147 0.6673
N: 0.5931 0.3853 0.8327
N: 0.6477 0.6344 0.6444
N: 0.6477 0.8656 0.8556
N: 0.8523 0.1344 0.8556
N: 0.8523 0.3656 0.6444
N: 0.9069 0.6147 0.8327
N: 0.9069 0.8853 0.6673

***

3.
VPb2N3: theoretical PXRD pattern (copper Kα), based on a crystal structure in the Materials Project, relaxed with PBE.
Lines closer than 0.1° are merged.

Peak list (8 most intense, 2θ from 10° to 90°, low angle first)
- 22.29 deg, rel. 47.7
- 27.30 deg, rel. 27.8
- 28.03 deg, rel. 29.9
- 29.46 deg, rel. 39.1
- 31.07 deg, rel. 57.9
- 31.93 deg, rel. 100.0
- 33.14 deg, rel. 24.8
- 42.33 deg, rel. 23.7

Structure:
a = 6.2721 Å, b = 6.2721 Å, c = 12.7352 Å
α = 90.00°, β = 90.00°, γ = 125.36°
Fractional coordinates of all 24 atoms:
V: 0.2442 0.7558 0.8368
V: 0.2558 0.7442 0.3368
V: 0.7442 0.2558 0.6632
V: 0.7558 0.2442 0.1632
Pb: 0.0665 0.9335 0.6259
Pb: 0.1326 0.8674 0.0763
Pb: 0.3674 0.6326 0.5763
Pb: 0.4335 0.5665 0.1259
Pb: 0.5665 0.4335 0.8741
Pb: 0.6326 0.3674 0.4237
Pb: 0.8674 0.1326 0.9237
Pb: 0.9335 0.0665 0.3741
N: 0.0145 0.4855 0.7500
N: 0.0926 0.9074 0.8887
N: 0.1477 0.8523 0.4456
N: 0.3523 0.6477 0.9456
N: 0.4074 0.5926 0.3887
N: 0.4855 0.0145 0.2500
N: 0.5145 0.9855 0.7500
N: 0.5926 0.4074 0.6113
N: 0.6477 0.3523 0.0544
N: 0.8523 0.1477 0.5544
N: 0.9074 0.0926 0.1113
N: 0.9855 0.5145 0.2500